Entry 1:
Mg6FeSb: simulated PXRD pattern (a wavelength of 1.5418 Å), based on DFT lattice parameters and positions (PBE).

Crystal structure
Cell: 4.8488 6.2672 10.5286 Å, 90.00 90.00 90.00°
Sites, in units of the cell vectors:
Mg 0.0000 0.0000 0.0000
Mg 0.0000 0.2363 0.7423
Mg 0.0000 0.2637 0.2423
Mg 0.0000 0.5000 0.5000
Mg 0.0000 0.7363 0.2423
Mg 0.0000 0.7637 0.7423
Mg 0.5000 0.0000 0.1665
Mg 0.5000 0.2422 0.9121
Mg 0.5000 0.2578 0.4121
Mg 0.5000 0.5000 0.6665
Mg 0.5000 0.7422 0.4121
Mg 0.5000 0.7578 0.9121
Fe 0.5000 0.0000 0.6621
Fe 0.5000 0.5000 0.1621
Sb 0.0000 0.0000 0.5063
Sb 0.0000 0.5000 0.0063

Largest 10 diffraction maxima, in order of rising 2θ, 2θ = 5–70°:
(0 1 1), d = 5.385 Å, 16.46°, I = 707; (0 0 2), d = 5.264 Å, 16.84°, I = 195; (1 1 1), d = 3.603 Å, 24.71°, I = 259; (1 0 2), d = 3.566 Å, 24.97°, I = 241; (0 2 2), d = 2.693 Å, 33.27°, I = 309; (1 1 3), d = 2.589 Å, 34.65°, I = 262; (2 0 0), d = 2.424 Å, 37.08°, I = 378; (1 2 2), d = 2.354 Å, 38.23°, I = 1000; (1 0 4), d = 2.313 Å, 38.93°, I = 528; (2 2 2), d = 1.802 Å, 50.67°, I = 182


Entry 2:
Mg6FeSn: simulated PXRD pattern (a wavelength of 1.5418 Å), based on DFT lattice parameters and positions (PBE).

Crystal structure
Cell: 4.9244 6.3435 10.7271 Å, 90.00 90.00 90.00°
Sites, in units of the cell vectors:
Mg 0.0000 0.0000 0.0000
Mg 0.0000 0.2384 0.7437
Mg 0.0000 0.2616 0.2437
Mg 0.0000 0.5000 0.5000
Mg 0.0000 0.7384 0.2437
Mg 0.0000 0.7616 0.7437
Mg 0.5000 0.0000 0.1705
Mg 0.5000 0.2442 0.9178
Mg 0.5000 0.2558 0.4178
Mg 0.5000 0.5000 0.6705
Mg 0.5000 0.7442 0.4178
Mg 0.5000 0.7558 0.9178
Fe 0.5000 0.0000 0.6728
Fe 0.5000 0.5000 0.1728
Sn 0.0000 0.0000 0.5023
Sn 0.0000 0.5000 0.0023

Largest 10 diffraction maxima, in order of rising 2θ, 2θ = 5–70°:
(0 1 1), d = 5.460 Å, 16.23°, I = 594; (1 1 1), d = 3.657 Å, 24.34°, I = 256; (1 0 2), d = 3.627 Å, 24.54°, I = 242; (0 2 2), d = 2.730 Å, 32.80°, I = 239; (1 1 3), d = 2.632 Å, 34.06°, I = 250; (2 0 0), d = 2.462 Å, 36.49°, I = 353; (1 2 2), d = 2.388 Å, 37.67°, I = 1000; (1 0 4), d = 2.355 Å, 38.21°, I = 440; (0 2 6), d = 1.557 Å, 59.34°, I = 162; (3 2 2), d = 1.407 Å, 66.46°, I = 181


Entry 3:
Mg6FeSn: simulated PXRD pattern (a wavelength of 1.5418 Å), based on DFT lattice parameters and positions (PBE).

Crystal structure
Cell: 4.9556 6.2284 10.8351 Å, 90.00 90.00 90.00°
Sites, in units of the cell vectors:
Mg 0.0000 0.0000 0.0000
Mg 0.0000 0.0000 0.4907
Mg 0.0000 0.2361 0.2497
Mg 0.0000 0.2639 0.7497
Mg 0.0000 0.5000 0.5000
Mg 0.0000 0.5000 0.9907
Mg 0.0000 0.7361 0.7497
Mg 0.0000 0.7639 0.2497
Mg 0.5000 0.2488 0.5805
Mg 0.5000 0.2512 0.0805
Mg 0.5000 0.7488 0.0805
Mg 0.5000 0.7512 0.5805
Fe 0.5000 0.0000 0.3310
Fe 0.5000 0.5000 0.8310
Sn 0.5000 0.0000 0.8320
Sn 0.5000 0.5000 0.3320

Largest 10 diffraction maxima, in order of rising 2θ, 2θ = 5–70°:
(0 0 2), d = 5.413 Å, 16.38°, I = 345; (1 0 0), d = 4.956 Å, 17.90°, I = 202; (1 0 2), d = 3.655 Å, 24.36°, I = 293; (0 2 2), d = 2.700 Å, 33.18°, I = 224; (1 2 0), d = 2.639 Å, 33.97°, I = 124; (2 0 0), d = 2.478 Å, 36.25°, I = 241; (1 0 4), d = 2.373 Å, 37.92°, I = 1000; (2 2 2), d = 1.826 Å, 49.93°, I = 207; (0 2 6), d = 1.562 Å, 59.14°, I = 111; (3 0 4), d = 1.409 Å, 66.32°, I = 186